Structure and simulated XRD peak list of NiRhO2 (a PBE+U-relaxed structure; CuKα).

Main lines, in order of falling intensity (10 to 90 degrees two-theta):
| Position (°2θ) | I/Imax |
| --- | --- |
| 39.8 | 100 |
| 32.5 | 82 |
| 62.9 | 64 |
| 46.6 | 37 |
| 76.6 | 13 |
| 85.7 | 12 |
| 32.1 | 10 |
| 81.7 | 9 |

Crystal structure
```
data_NiRhO2
_chemical_formula_sum 'Ni2 Rh2 O4'
_cell_length_a 5.509
_cell_length_b 5.521
_cell_length_c 2.787
_cell_angle_alpha 90.00
_cell_angle_beta 90.00
_cell_angle_gamma 90.00
_space_group_name_H-M_alt 'P b a m'
_space_group_IT_number 55
loop_
_space_group_symop_operation_xyz
'x,y,z'
'-x,-y,-z'
'-x,-y,z'
'x,y,-z'
'x+1/2,-y+1/2,-z'
'-x+1/2,y+1/2,z'
'-x+1/2,y+1/2,-z'
'x+1/2,-y+1/2,z'
loop_
_atom_site_label
_atom_site_type_symbol
_atom_site_fract_x
_atom_site_fract_y
_atom_site_fract_z
Ni1 Ni 0.000 0.000 0.000
Rh1 Rh 0.000 0.500 0.500
O1 O 0.161 0.162 0.500
```